Record 1
Starting from a DFT-relaxed cell (GGA+U, the Materials Project), the X-ray diffraction stick pattern of Li2MnFeB2O6 was calculated for Cu Kα.

Most intense lines, 2θ = 5–70°, in order of rising 2θ:
2theta	I/Imax	hkl
21.52	100	2 0 -1
30.91	17	1 2 -1
33.14	16	1 0 -3
35.76	80	2 2 -1
37.73	32	3 0 -3
37.98	10	0 2 2
43.85	15	4 0 -2
44.06	10	1 2 -3
47.77	28	3 2 -3
52.96	25	4 2 -2
54.61	18	3 2 -4
58.34	11	0 4 0

Cell and atoms:
```
data_Li2MnFeB2O6
_chemical_formula_sum 'Li6 Mn3 Fe3 B6 O18'
_space_group_name_H-M_alt 'P 1 m 1'
_space_group_IT_number 6
_cell_length_a 8.2522
_cell_length_b 6.3267
_cell_length_c 8.2566
_cell_angle_alpha 90.00
_cell_angle_beta 119.91
_cell_angle_gamma 90.00
loop_
_space_group_symop_operation_xyz
'x,y,z'
'x,-y,z'
loop_
_atom_site_label
_atom_site_type_symbol
_atom_site_fract_x
_atom_site_fract_y
_atom_site_fract_z
_atom_site_occupancy
Li1 Li 0.0000 0.2493 0.0000 1
Li2 Li 0.2675 0.2494 0.6825 1
Li3 Li 0.5871 0.2508 0.2679 1
Mn1 Mn 0.2973 0.5000 0.3555 1
Mn2 Mn 0.2976 0.0000 0.3572 1
Mn3 Mn 0.6448 0.5000 0.9713 1
Fe1 Fe 0.6441 0.0000 0.9773 1
Fe2 Fe 0.9170 0.0000 0.6241 1
Fe3 Fe 0.9181 0.5000 0.6251 1
B1 B 0.2828 0.0000 0.9815 1
B2 B 0.2826 0.5000 0.9833 1
B3 B 0.6211 0.2484 0.6513 1
B4 B 0.9512 0.2484 0.3188 1
O1 O 0.1449 0.2501 0.4044 1
O2 O 0.1684 0.5000 0.0628 1
O3 O 0.1724 0.0000 0.0645 1
O4 O 0.2006 0.0000 0.7879 1
O5 O 0.2019 0.5000 0.7891 1
O6 O 0.4764 0.5000 0.0966 1
O7 O 0.4781 0.0000 0.0928 1
O8 O 0.5084 0.2500 0.4573 1
O9 O 0.5390 0.2464 0.7634 1
O10 O 0.8146 0.2496 0.7312 1
O11 O 0.8432 0.2465 0.1250 1
O12 O 0.8654 0.2500 0.4273 1
```

=====

Record 2
Starting from a DFT-relaxed cell (GGA+U, the Materials Project), the X-ray diffraction stick pattern of Li4Mn3FeB4O12 was calculated for Cu Kα.

Most intense lines, 2θ = 5–70°, in order of rising 2θ:
2theta	I/Imax	hkl
19.52	35	1 -1 0
21.30	20	1 -1 1
21.50	32	0 2 -1
25.51	12	1 1 2
25.59	12	0 2 2
26.27	16	0 2 -2
34.16	100	0 0 4
40.26	13	2 2 1
40.38	12	0 4 1
40.62	12	-2 2 1
48.26	18	1 1 -5
61.17	12	3 -3 0

Cell and atoms:
```
data_Li4Mn3FeB4O12
_chemical_formula_sum 'Li8 Mn6 Fe2 B8 O24'
_space_group_name_H-M_alt 'P 1'
_space_group_IT_number 1
_cell_length_a 5.2567
_cell_length_b 9.0954
_cell_length_c 10.5010
_cell_angle_alpha 88.51
_cell_angle_beta 88.90
_cell_angle_gamma 89.81
loop_
_space_group_symop_operation_xyz
'x,y,z'
loop_
_atom_site_label
_atom_site_type_symbol
_atom_site_fract_x
_atom_site_fract_y
_atom_site_fract_z
_atom_site_occupancy
Li1 Li 0.0000 0.0000 0.0000 1
Li2 Li 0.0142 0.9951 0.5000 1
Li3 Li 0.3253 0.3433 0.2502 1
Li4 Li 0.3657 0.3297 0.7509 1
Li5 Li 0.4965 0.5019 0.0009 1
Li6 Li 0.5132 0.4951 0.5012 1
Li7 Li 0.8237 0.8443 0.2515 1
Li8 Li 0.8636 0.8302 0.7508 1
Mn1 Mn 0.0085 0.3334 0.9660 1
Mn2 Mn 0.0090 0.6682 0.4669 1
Mn3 Mn 0.3565 0.6694 0.7184 1
Mn4 Mn 0.5070 0.1657 0.4643 1
Mn5 Mn 0.8361 0.5087 0.2168 1
Mn6 Mn 0.8548 0.1676 0.7155 1
Fe1 Fe 0.3313 0.0084 0.2136 1
Fe2 Fe 0.5158 0.8343 0.9682 1
B1 B 0.0052 0.3363 0.4582 1
B2 B 0.0120 0.6684 0.9603 1
B3 B 0.3350 0.6729 0.2081 1
B4 B 0.3512 0.9988 0.7096 1
B5 B 0.5046 0.8365 0.4577 1
B6 B 0.5139 0.1652 0.9592 1
B7 B 0.8371 0.1694 0.2082 1
B8 B 0.8511 0.4989 0.7094 1
O1 O 0.9997 0.3796 0.7504 1
O2 O 0.0820 0.6868 0.2490 1
O3 O 0.0910 0.9838 0.6946 1
O4 O 0.2668 0.3481 0.4433 1
O5 O 0.2717 0.6569 0.9311 1
O6 O 0.3504 0.9576 0.4262 1
O7 O 0.3723 0.0422 0.0000 1
O8 O 0.3948 0.7043 0.5010 1
O9 O 0.4000 0.3022 0.9453 1
O10 O 0.4443 0.5351 0.1936 1
O11 O 0.4657 0.1347 0.6786 1
O12 O 0.4798 0.7992 0.1787 1
O13 O 0.4999 0.8806 0.7514 1
O14 O 0.5827 0.1795 0.2466 1
O15 O 0.5910 0.4846 0.6950 1
O16 O 0.7664 0.8488 0.4438 1
O17 O 0.7739 0.1500 0.9295 1
O18 O 0.8513 0.4586 0.4280 1
O19 O 0.8717 0.5451 0.0005 1
O20 O 0.8918 0.8041 0.9459 1
O21 O 0.8933 0.2044 0.5003 1
O22 O 0.9539 0.0327 0.1953 1
O23 O 0.9672 0.6344 0.6795 1
O24 O 0.9793 0.2964 0.1794 1
```

=====

Record 3
Starting from a DFT-relaxed cell (GGA+U, the Materials Project), the X-ray diffraction stick pattern of Li4Mn3FeB4O12 was calculated for Cu Kα.

Most intense lines, 2θ = 5–70°, in order of rising 2θ:
2theta	I/Imax	hkl
19.53	50	1 -1 0
21.33	29	-1 1 2
21.47	46	0 1 2
25.61	35	1 0 -4
26.25	23	1 0 4
34.12	43	1 -2 0
34.24	100	0 0 8
40.34	35	2 0 -2
40.67	17	-2 2 2
48.28	31	0 1 10
49.53	13	2 -1 8
61.06	16	3 0 0

Cell and atoms:
```
data_Li4Mn3FeB4O12
_chemical_formula_sum 'Li8 Mn6 Fe2 B8 O24'
_space_group_name_H-M_alt 'P 1'
_space_group_IT_number 1
_cell_length_a 5.2465
_cell_length_b 5.2497
_cell_length_c 20.9517
_cell_angle_alpha 90.86
_cell_angle_beta 90.78
_cell_angle_gamma 119.80
loop_
_space_group_symop_operation_xyz
'x,y,z'
loop_
_atom_site_label
_atom_site_type_symbol
_atom_site_fract_x
_atom_site_fract_y
_atom_site_fract_z
_atom_site_occupancy
Li1 Li 0.0000 0.0000 0.0000 1
Li2 Li 0.0002 0.0021 0.4999 1
Li3 Li 0.0090 0.9915 0.2496 1
Li4 Li 0.0103 0.9917 0.7502 1
Li5 Li 0.3130 0.3327 0.6253 1
Li6 Li 0.3146 0.3323 0.1256 1
Li7 Li 0.3403 0.3057 0.3754 1
Li8 Li 0.3412 0.3050 0.8755 1
Mn1 Mn 0.3310 0.6572 0.9842 1
Mn2 Mn 0.3376 0.6602 0.4823 1
Mn3 Mn 0.6652 0.3243 0.7330 1
Mn4 Mn 0.6654 0.9764 0.8583 1
Mn5 Mn 0.6693 0.3268 0.2334 1
Mn6 Mn 0.9848 0.6566 0.6075 1
Fe1 Fe 0.6662 0.9713 0.3574 1
Fe2 Fe 0.9784 0.6569 0.1079 1
B1 B 0.0006 0.6508 0.3544 1
B2 B 0.0040 0.6510 0.8544 1
B3 B 0.3272 0.6581 0.7293 1
B4 B 0.3282 0.6587 0.2290 1
B5 B 0.6595 0.9924 0.1046 1
B6 B 0.6596 0.9954 0.6042 1
B7 B 0.6654 0.3188 0.9800 1
B8 B 0.6681 0.3194 0.4783 1
O1 O 0.0215 0.9238 0.3474 1
O2 O 0.0332 0.9259 0.8471 1
O3 O 0.0839 0.6910 0.7140 1
O4 O 0.0845 0.6907 0.2136 1
O5 O 0.2415 0.6208 0.8752 1
O6 O 0.2477 0.6335 0.3732 1
O7 O 0.3033 0.3848 0.7220 1
O8 O 0.3054 0.3852 0.2220 1
O9 O 0.3919 0.2955 0.9725 1
O10 O 0.3941 0.2958 0.4714 1
O11 O 0.4034 0.7248 0.0911 1
O12 O 0.4091 0.7243 0.5891 1
O13 O 0.5913 0.9007 0.7504 1
O14 O 0.5910 0.9017 0.2504 1
O15 O 0.6292 0.2328 0.6248 1
O16 O 0.6421 0.2387 0.1233 1
O17 O 0.6983 0.0754 0.9648 1
O18 O 0.7005 0.0764 0.4630 1
O19 O 0.7334 0.3950 0.3407 1
O20 O 0.7328 0.4001 0.8395 1
O21 O 0.9077 0.5824 0.0010 1
O22 O 0.9112 0.5829 0.4996 1
O23 O 0.9332 0.0131 0.0978 1
O24 O 0.9348 0.0246 0.5967 1
```

=====

Record 4
Starting from a DFT-relaxed cell (GGA+U, the Materials Project), the X-ray diffraction stick pattern of Li4Mn3FeB4O12 was calculated for Cu Kα.

Most intense lines, 2θ = 5–70°, in order of rising 2θ:
2theta	I/Imax	hkl
19.56	40	1 -1 0
21.36	24	-1 1 2
21.55	37	0 1 2
25.54	29	1 0 -4
26.37	18	1 0 4
34.10	17	1 1 0
34.27	100	0 0 8
40.31	32	2 0 -2
40.74	15	-2 2 2
47.89	10	-1 1 10
48.47	22	0 1 10
61.12	15	3 0 0

Cell and atoms:
```
data_Li4Mn3FeB4O12
_chemical_formula_sum 'Li8 Mn6 Fe2 B8 O24'
_space_group_name_H-M_alt 'P 1'
_space_group_IT_number 1
_cell_length_a 5.2406
_cell_length_b 5.2416
_cell_length_c 20.9319
_cell_angle_alpha 91.06
_cell_angle_beta 91.05
_cell_angle_gamma 119.73
loop_
_space_group_symop_operation_xyz
'x,y,z'
loop_
_atom_site_label
_atom_site_type_symbol
_atom_site_fract_x
_atom_site_fract_y
_atom_site_fract_z
_atom_site_occupancy
Li1 Li 0.0000 0.0000 0.0000 1
Li2 Li 0.0001 0.0018 0.5005 1
Li3 Li 0.0269 0.9737 0.7501 1
Li4 Li 0.0284 0.9736 0.2501 1
Li5 Li 0.3284 0.3139 0.6251 1
Li6 Li 0.3304 0.3139 0.1250 1
Li7 Li 0.3404 0.3036 0.3752 1
Li8 Li 0.3415 0.3034 0.8751 1
Mn1 Mn 0.0083 0.6498 0.3926 1
Mn2 Mn 0.3559 0.6489 0.2674 1
Mn3 Mn 0.3557 0.6511 0.7673 1
Mn4 Mn 0.6758 0.3276 0.5175 1
Mn5 Mn 0.6761 0.9816 0.1424 1
Mn6 Mn 0.6774 0.3313 0.0170 1
Fe1 Fe 0.0058 0.6536 0.8926 1
Fe2 Fe 0.6818 0.9868 0.6427 1
B1 B 0.0131 0.6467 0.6461 1
B2 B 0.0138 0.6481 0.1461 1
B3 B 0.3378 0.6557 0.0206 1
B4 B 0.3389 0.6559 0.5218 1
B5 B 0.6734 0.9852 0.8960 1
B6 B 0.6747 0.9870 0.3962 1
B7 B 0.6818 0.3109 0.2711 1
B8 B 0.6826 0.3123 0.7713 1
O1 O 0.0285 0.9175 0.6528 1
O2 O 0.0416 0.9231 0.1533 1
O3 O 0.1014 0.6885 0.0000 1
O4 O 0.1018 0.6883 0.5010 1
O5 O 0.2557 0.6120 0.1615 1
O6 O 0.2609 0.6213 0.6608 1
O7 O 0.3056 0.3795 0.0279 1
O8 O 0.3072 0.3799 0.5288 1
O9 O 0.4061 0.2786 0.2784 1
O10 O 0.4064 0.2805 0.7783 1
O11 O 0.4265 0.7214 0.8760 1
O12 O 0.4331 0.7209 0.3751 1
O13 O 0.6110 0.9051 0.0359 1
O14 O 0.6118 0.9053 0.5370 1
O15 O 0.6386 0.2290 0.4116 1
O16 O 0.6501 0.2346 0.9107 1
O17 O 0.7153 0.0745 0.2504 1
O18 O 0.7151 0.0756 0.7505 1
O19 O 0.7476 0.3987 0.6262 1
O20 O 0.7475 0.4066 0.1250 1
O21 O 0.9311 0.5842 0.2862 1
O22 O 0.9322 0.5848 0.7868 1
O23 O 0.9463 0.0035 0.9026 1
O24 O 0.9496 0.0149 0.4035 1
```

=====

Record 5
Starting from a DFT-relaxed cell (GGA+U, the Materials Project), the X-ray diffraction stick pattern of Li2MnFeB2O6 was calculated for Cu Kα.

Most intense lines, 2θ = 5–70°, in order of rising 2θ:
2theta	I/Imax	hkl
21.52	100	2 0 0
30.92	17	0 1 2
33.13	16	3 0 1
35.77	80	2 1 0
37.73	32	0 0 6
43.84	15	2 0 -6
44.07	10	3 1 1
47.78	28	0 1 6
52.96	25	2 1 -6
54.61	18	3 1 5
58.38	11	0 2 0
66.84	13	1 1 9

Cell and atoms:
```
data_Li2MnFeB2O6
_chemical_formula_sum 'Li6 Mn3 Fe3 B6 O18'
_space_group_name_H-M_alt 'P 1 m 1'
_space_group_IT_number 6
_cell_length_a 8.2599
_cell_length_b 3.1616
_cell_length_c 14.3077
_cell_angle_alpha 90.00
_cell_angle_beta 90.02
_cell_angle_gamma 90.00
loop_
_space_group_symop_operation_xyz
'x,y,z'
'x,-y,z'
loop_
_atom_site_label
_atom_site_type_symbol
_atom_site_fract_x
_atom_site_fract_y
_atom_site_fract_z
_atom_site_occupancy
Li1 Li 0.0000 0.0000 0.0000 1
Li2 Li 0.0252 0.0000 0.7058 1
Li3 Li 0.0741 0.0000 0.3405 1
Li4 Li 0.5029 0.0000 0.4991 1
Li5 Li 0.5287 0.0000 0.2074 1
Li6 Li 0.5753 0.0000 0.8403 1
Mn1 Mn 0.1758 0.5000 0.5286 1
Mn2 Mn 0.1939 0.5000 0.1634 1
Mn3 Mn 0.2347 0.5000 0.8546 1
Fe1 Fe 0.6805 0.5000 0.0285 1
Fe2 Fe 0.6917 0.5000 0.6648 1
Fe3 Fe 0.7300 0.5000 0.3528 1
B1 B 0.3688 0.5000 0.3497 1
B2 B 0.3702 0.0000 0.0161 1
B3 B 0.3697 0.0000 0.6821 1
B4 B 0.8650 0.0000 0.5149 1
B5 B 0.8656 0.0000 0.1821 1
B6 B 0.8665 0.5000 0.8480 1
O1 O 0.0044 0.5000 0.7921 1
O2 O 0.0167 0.0000 0.1396 1
O3 O 0.0189 0.0000 0.4748 1
O4 O 0.2150 0.5000 0.3096 1
O5 O 0.2291 0.0000 0.6290 1
O6 O 0.2312 0.0000 0.9607 1
O7 O 0.3548 0.0000 0.1130 1
O8 O 0.3594 0.0000 0.7790 1
O9 O 0.3862 0.5000 0.4463 1
O10 O 0.5064 0.5000 0.2930 1
O11 O 0.5206 0.0000 0.6388 1
O12 O 0.5231 0.0000 0.9753 1
O13 O 0.7140 0.5000 0.8066 1
O14 O 0.7265 0.0000 0.1272 1
O15 O 0.7293 0.0000 0.4573 1
O16 O 0.8484 0.0000 0.6119 1
O17 O 0.8540 0.0000 0.2792 1
O18 O 0.8803 0.5000 0.9452 1
```

=====

Record 6
Starting from a DFT-relaxed cell (GGA+U, the Materials Project), the X-ray diffraction stick pattern of Li6Mn5FeB6O18 was calculated for Cu Kα.

Most intense lines, 2θ = 5–70°, in order of rising 2θ:
2theta	I/Imax	hkl
21.48	100	1 0 3
30.73	18	1 1 1
33.08	18	3 0 -1
35.58	82	1 1 3
37.67	33	3 0 3
43.77	15	2 0 6
43.89	11	3 1 -1
47.60	29	0 1 6
52.78	26	2 1 -6
54.43	19	4 1 2
57.93	12	0 2 0
63.72	10	5 1 -1

Cell and atoms:
```
data_Li6Mn5FeB6O18
_chemical_formula_sum 'Li6 Mn5 Fe1 B6 O18'
_space_group_name_H-M_alt 'P 1 m 1'
_space_group_IT_number 6
_cell_length_a 8.2716
_cell_length_b 3.1837
_cell_length_c 14.3303
_cell_angle_alpha 90.00
_cell_angle_beta 90.10
_cell_angle_gamma 90.00
loop_
_space_group_symop_operation_xyz
'x,y,z'
'x,-y,z'
loop_
_atom_site_label
_atom_site_type_symbol
_atom_site_fract_x
_atom_site_fract_y
_atom_site_fract_z
_atom_site_occupancy
Li1 Li 0.0000 0.0000 0.0000 1
Li2 Li 0.0257 0.0000 0.2931 1
Li3 Li 0.0742 0.0000 0.6587 1
Li4 Li 0.5007 0.0000 0.4994 1
Li5 Li 0.5265 0.0000 0.7922 1
Li6 Li 0.5745 0.0000 0.1601 1
Mn1 Mn 0.1755 0.5000 0.4706 1
Mn2 Mn 0.1935 0.5000 0.8357 1
Mn3 Mn 0.2331 0.5000 0.1448 1
Mn4 Mn 0.6751 0.5000 0.9705 1
Mn5 Mn 0.7322 0.5000 0.6442 1
Fe1 Fe 0.6919 0.5000 0.3337 1
B1 B 0.3672 0.0000 0.9840 1
B2 B 0.3672 0.5000 0.6503 1
B3 B 0.3693 0.0000 0.3172 1
B4 B 0.8654 0.0000 0.4827 1
B5 B 0.8671 0.0000 0.8171 1
B6 B 0.8676 0.5000 0.1514 1
O1 O 0.0039 0.5000 0.2084 1
O2 O 0.0175 0.0000 0.8604 1
O3 O 0.0186 0.0000 0.5238 1
O4 O 0.2126 0.5000 0.6892 1
O5 O 0.2290 0.0000 0.0393 1
O6 O 0.2297 0.0000 0.3710 1
O7 O 0.3533 0.0000 0.8871 1
O8 O 0.3572 0.0000 0.2205 1
O9 O 0.3860 0.5000 0.5536 1
O10 O 0.5029 0.5000 0.7082 1
O11 O 0.5197 0.0000 0.0255 1
O12 O 0.5208 0.0000 0.3596 1
O13 O 0.7137 0.5000 0.1920 1
O14 O 0.7273 0.0000 0.8707 1
O15 O 0.7285 0.0000 0.5393 1
O16 O 0.8490 0.0000 0.3861 1
O17 O 0.8566 0.0000 0.7204 1
O18 O 0.8840 0.5000 0.0547 1
```

=====

Record 7
Starting from a DFT-relaxed cell (GGA+U, the Materials Project), the X-ray diffraction stick pattern of Li8Mn7FeB8O24 was calculated for Cu Kα.

Most intense lines, 2θ = 5–70°, in order of rising 2θ:
2theta	I/Imax	hkl
20.35	78	0 1 2
20.62	20	1 1 0
22.02	33	0 2 0
22.50	59	1 0 -2
30.31	20	2 0 0
33.18	100	2 -2 0
33.94	33	1 2 -2
34.16	25	0 0 4
34.59	24	1 2 2
37.85	18	0 3 2
39.94	26	1 3 0
40.65	54	0 2 -4

Cell and atoms:
```
data_Li8Mn7FeB8O24
_chemical_formula_sum 'Li8 Mn7 Fe1 B8 O24'
_space_group_name_H-M_alt 'P 1'
_space_group_IT_number 1
_cell_length_a 6.0656
_cell_length_b 8.3014
_cell_length_c 10.5010
_cell_angle_alpha 90.86
_cell_angle_beta 90.66
_cell_angle_gamma 103.47
loop_
_space_group_symop_operation_xyz
'x,y,z'
loop_
_atom_site_label
_atom_site_type_symbol
_atom_site_fract_x
_atom_site_fract_y
_atom_site_fract_z
_atom_site_occupancy
Li1 Li 0.0000 0.0000 0.0000 1
Li2 Li 0.0005 0.9997 0.4994 1
Li3 Li 0.0921 0.4369 0.3484 1
Li4 Li 0.0932 0.4373 0.8493 1
Li5 Li 0.4987 0.5015 0.2501 1
Li6 Li 0.5005 0.5000 0.7497 1
Li7 Li 0.5929 0.9359 0.1000 1
Li8 Li 0.5926 0.9370 0.5991 1
Mn1 Mn 0.2317 0.1384 0.7581 1
Mn2 Mn 0.2339 0.1354 0.2584 1
Mn3 Mn 0.3610 0.7990 0.8411 1
Mn4 Mn 0.7320 0.6384 0.0085 1
Mn5 Mn 0.7332 0.6380 0.5068 1
Mn6 Mn 0.8604 0.2980 0.0911 1
Mn7 Mn 0.8599 0.2977 0.5910 1
Fe1 Fe 0.3607 0.7968 0.3439 1
B1 B 0.2112 0.6232 0.5887 1
B2 B 0.2135 0.6243 0.0906 1
B3 B 0.3793 0.3146 0.5089 1
B4 B 0.3796 0.3145 0.0095 1
B5 B 0.7116 0.1201 0.3400 1
B6 B 0.7126 0.1223 0.8399 1
B7 B 0.8794 0.8142 0.7591 1
B8 B 0.8807 0.8137 0.2597 1
O1 O 0.0312 0.5292 0.5148 1
O2 O 0.0332 0.5301 0.0165 1
O3 O 0.0604 0.9065 0.8337 1
O4 O 0.0622 0.9046 0.3344 1
O5 O 0.2057 0.2017 0.0682 1
O6 O 0.2056 0.2019 0.5678 1
O7 O 0.2231 0.5966 0.7180 1
O8 O 0.2225 0.6015 0.2206 1
O9 O 0.3707 0.3409 0.3793 1
O10 O 0.3714 0.3415 0.8799 1
O11 O 0.3822 0.7386 0.5291 1
O12 O 0.3877 0.7354 0.0309 1
O13 O 0.5309 0.0256 0.2663 1
O14 O 0.5320 0.0304 0.7649 1
O15 O 0.5604 0.4067 0.0841 1
O16 O 0.5603 0.4073 0.5835 1
O17 O 0.7052 0.7015 0.3175 1
O18 O 0.7058 0.7015 0.8179 1
O19 O 0.7203 0.0949 0.9693 1
O20 O 0.7206 0.0947 0.4697 1
O21 O 0.8704 0.8408 0.6296 1
O22 O 0.8727 0.8415 0.1301 1
O23 O 0.8842 0.2339 0.2812 1
O24 O 0.8869 0.2352 0.7816 1
```

=====

> Which formula does entry 1 have?

Li2MnFeB2O6